Theoretical XRD peak list
Compound: CuGeCl4
Radiation: copper Kα
Structure: a GGA-PBE-relaxed structure
Kinematic intensities with the Lorentz-polarization factor, no thermal factor.

Structural model:
Unit cell a=6.308 b=6.448 c=9.262 alpha=90.00 beta=90.00 gamma=90.00
Atoms (fractional coordinates):
Cu 0.000 0.000 0.000
Cu 0.000 0.500 0.500
Ge 0.000 0.000 0.500
Ge 0.500 0.000 0.000
Cl 0.186 0.277 0.347
Cl 0.186 0.723 0.653
Cl 0.264 0.196 0.879
Cl 0.264 0.804 0.121
Cl 0.736 0.196 0.121
Cl 0.736 0.804 0.879
Cl 0.814 0.277 0.653
Cl 0.814 0.723 0.347

The 10 most intense peaks (2θ from 10° to 90°), by angle:
2θ (°), intensity
13.73, 57
14.04, 61
16.75, 86
17.01, 88
19.16, 51
27.61, 100
33.88, 45
34.40, 40
39.99, 61
48.40, 35



Theoretical XRD peak list
Compound: CrPd7
Radiation: copper Kα
Structure: a GGA-PBE-relaxed structure
Kinematic intensities with the Lorentz-polarization factor, no thermal factor.

Structural model:
Unit cell a=5.535 b=5.535 c=4.596 alpha=90.00 beta=90.00 gamma=120.00
Atoms (fractional coordinates):
Cr 0.000 0.000 0.000
Pd 0.001 0.500 0.000
Pd 0.330 0.165 0.500
Pd 0.333 0.667 0.500
Pd 0.500 0.500 0.000
Pd 0.500 0.999 0.000
Pd 0.835 0.165 0.500
Pd 0.835 0.670 0.500

The 10 most intense peaks (2θ from 10° to 90°), by angle:
2θ (°), intensity
37.52, 24
39.21, 28
42.54, 100
55.39, 15
67.71, 16
73.35, 19
80.07, 3
81.13, 19
83.33, 14
84.29, 3



Theoretical XRD peak list
Compound: BiH6BrN2
Radiation: copper Kα
Structure: a GGA-PBE-relaxed structure
Kinematic intensities with the Lorentz-polarization factor, no thermal factor.

Structural model:
Unit cell a=8.058 b=8.058 c=8.058 alpha=143.58 beta=111.42 gamma=80.22
Atoms (fractional coordinates):
Bi 0.417 0.167 0.250
Bi 0.583 0.833 0.750
H 0.053 0.289 0.090
H 0.053 0.964 0.764
H 0.161 0.242 0.919
H 0.177 0.758 0.419
H 0.301 0.036 0.590
H 0.301 0.711 0.264
H 0.699 0.289 0.736
H 0.699 0.964 0.410
H 0.823 0.242 0.581
H 0.839 0.758 0.081
H 0.947 0.036 0.236
H 0.947 0.711 0.910
Br 0.188 0.438 0.750
Br 0.812 0.562 0.250
N 0.136 0.167 0.969
N 0.302 0.833 0.469
N 0.698 0.167 0.531
N 0.864 0.833 0.031

The 10 most intense peaks (2θ from 10° to 90°), by angle:
2θ (°), intensity
12.11, 87
19.56, 54
24.85, 100
28.03, 52
34.41, 37
35.66, 19
37.62, 42
37.81, 33
47.57, 21
49.31, 20



Theoretical XRD peak list
Compound: LiEu4B3N6
Radiation: copper Kα
Structure: a GGA-PBE-relaxed structure
Kinematic intensities with the Lorentz-polarization factor, no thermal factor.

Structural model:
Unit cell a=6.367 b=6.367 c=6.367 alpha=109.47 beta=109.47 gamma=109.47
Atoms (fractional coordinates):
Li 0.000 0.000 0.000
Eu 0.000 0.000 0.500
Eu 0.000 0.500 0.000
Eu 0.500 0.000 0.000
Eu 0.500 0.500 0.500
B 0.000 0.500 0.500
B 0.500 0.000 0.500
B 0.500 0.500 0.000
N 0.000 0.316 0.316
N 0.000 0.684 0.684
N 0.316 0.000 0.316
N 0.316 0.316 0.000
N 0.684 0.000 0.684
N 0.684 0.684 0.000

The 10 most intense peaks (2θ from 10° to 90°), by angle:
2θ (°), intensity
24.21, 89
34.51, 100
42.60, 38
49.60, 21
55.93, 42
61.82, 34
72.77, 12
77.98, 21
83.09, 18
88.15, 13



Theoretical XRD peak list
Compound: Ac3InPt8
Radiation: copper Kα
Structure: a GGA-PBE-relaxed structure
Kinematic intensities with the Lorentz-polarization factor, no thermal factor.

Structural model:
Unit cell a=9.682 b=9.682 c=9.682 alpha=33.75 beta=33.75 gamma=33.75
Atoms (fractional coordinates):
Ac 0.000 0.000 0.000
Ac 0.129 0.129 0.129
Ac 0.615 0.615 0.615
In 0.488 0.488 0.488
Pt 0.060 0.060 0.564
Pt 0.060 0.562 0.562
Pt 0.060 0.564 0.060
Pt 0.311 0.311 0.311
Pt 0.562 0.060 0.562
Pt 0.562 0.562 0.060
Pt 0.564 0.060 0.060
Pt 0.812 0.812 0.812

The 10 most intense peaks (2θ from 10° to 90°), by angle:
2θ (°), intensity
31.84, 18
31.98, 16
37.57, 100
37.71, 31
39.29, 40
39.52, 13
60.56, 20
60.65, 16
66.54, 20
66.86, 17



Theoretical XRD peak list
Compound: Zn2Cu5Ni
Radiation: copper Kα
Structure: a GGA-PBE-relaxed structure
Kinematic intensities with the Lorentz-polarization factor, no thermal factor.

Structural model:
Unit cell a=5.237 b=10.448 c=3.577 alpha=90.00 beta=90.00 gamma=90.00
Atoms (fractional coordinates):
Zn 0.240 0.122 0.000
Zn 0.260 0.622 0.000
Zn 0.740 0.378 0.000
Zn 0.760 0.878 0.000
Cu 0.000 0.500 0.500
Cu 0.008 0.750 0.500
Cu 0.247 0.374 0.000
Cu 0.253 0.874 0.000
Cu 0.492 0.250 0.500
Cu 0.500 0.000 0.500
Cu 0.508 0.750 0.500
Cu 0.747 0.126 0.000
Cu 0.753 0.626 0.000
Cu 0.992 0.250 0.500
Ni 0.000 0.000 0.500
Ni 0.500 0.500 0.500

The 8 most intense peaks (2θ from 10° to 90°), by angle:
2θ (°), intensity
42.83, 100
49.28, 32
51.06, 15
72.15, 5
72.35, 5
73.69, 18
87.74, 11
87.89, 11



Theoretical XRD peak list
Compound: Ca3Np3CoN8
Radiation: copper Kα
Structure: a GGA-PBE-relaxed structure
Kinematic intensities with the Lorentz-polarization factor, no thermal factor.

Structural model:
Unit cell a=6.837 b=6.837 c=6.837 alpha=58.18 beta=58.18 gamma=58.18
Atoms (fractional coordinates):
Ca 0.000 0.500 0.500
Ca 0.500 0.000 0.500
Ca 0.500 0.500 0.000
Np 0.000 0.000 0.500
Np 0.000 0.500 0.000
Np 0.500 0.000 0.000
Co 0.500 0.500 0.500
N 0.240 0.727 0.727
N 0.243 0.243 0.243
N 0.273 0.273 0.760
N 0.273 0.760 0.273
N 0.727 0.240 0.727
N 0.727 0.727 0.240
N 0.757 0.757 0.757
N 0.760 0.273 0.273

The 10 most intense peaks (2θ from 10° to 90°), by angle:
2θ (°), intensity
15.66, 100
31.52, 50
31.63, 27
32.85, 71
37.76, 78
41.11, 22
53.67, 26
55.27, 26
57.82, 21
65.08, 29



Theoretical XRD peak list
Compound: Dy2Ho3Er9
Radiation: copper Kα
Structure: a GGA-PBE-relaxed structure
Kinematic intensities with the Lorentz-polarization factor, no thermal factor.

Structural model:
Unit cell a=6.141 b=8.599 c=8.650 alpha=79.51 beta=77.32 gamma=87.25
Atoms (fractional coordinates):
Dy 0.048 0.032 0.299
Dy 0.952 0.968 0.701
Ho 0.248 0.620 0.727
Ho 0.500 0.000 0.000
Ho 0.752 0.380 0.273
Er 0.009 0.752 0.083
Er 0.154 0.333 0.506
Er 0.310 0.384 0.103
Er 0.410 0.687 0.305
Er 0.500 0.000 0.500
Er 0.590 0.313 0.695
Er 0.690 0.616 0.897
Er 0.846 0.667 0.494
Er 0.991 0.248 0.917

The 10 most intense peaks (2θ from 10° to 90°), by angle:
2θ (°), intensity
31.66, 43
31.76, 97
31.86, 100
32.07, 45
32.41, 77
33.49, 63
34.17, 46
35.13, 62
53.25, 25
63.03, 24



Theoretical XRD peak list
Compound: Cs2InGaBr4
Radiation: copper Kα
Structure: a GGA-PBE-relaxed structure
Kinematic intensities with the Lorentz-polarization factor, no thermal factor.

Structural model:
Unit cell a=9.824 b=9.824 c=9.824 alpha=120.16 beta=119.80 gamma=90.04
Atoms (fractional coordinates):
Cs 0.000 0.000 0.000
Cs 0.500 0.000 0.000
Cs 0.500 0.000 0.500
Cs 0.500 0.500 0.500
In 0.000 0.500 0.500
In 0.500 0.500 0.000
Ga 0.000 0.000 0.500
Ga 0.000 0.500 0.000
Br 0.217 0.742 0.474
Br 0.232 0.258 0.974
Br 0.237 0.253 0.516
Br 0.237 0.720 0.984
Br 0.763 0.280 0.016
Br 0.763 0.747 0.484
Br 0.768 0.742 0.026
Br 0.783 0.258 0.526

The 10 most intense peaks (2θ from 10° to 90°), by angle:
2θ (°), intensity
25.65, 100
36.47, 12
36.61, 63
45.13, 13
45.30, 13
52.70, 12
59.52, 22
65.75, 11
65.98, 12
89.16, 6